(1)
Diffraction record for Tb7Pd2Ru2. The powder diffractogram is simulated, not measured: it uses a crystal structure in Alexandria, relaxed with GGA-PBE and CuKα.

Peak list (12 most intense, 10 to 90 degrees two-theta, by intensity)
2θ/deg, d_spacing, I/Imax
34.32, 2.613, 100.0
30.24, 2.955, 37.8
34.79, 2.578, 30.3
45.53, 1.992, 21.7
38.92, 2.314, 20.0
31.50, 2.840, 19.2
28.71, 3.110, 15.8
55.32, 1.661, 13.6
58.21, 1.585, 13.2
29.67, 3.011, 13.1
36.93, 2.434, 12.6
52.59, 1.740, 12.0

Structure:
Lattice parameters (Å, degrees): 3.985 14.924 9.224 90.00 90.00 90.00
Space group Imm2 (No. 44)
Unique sites:
Tb1 0.000 0.000 0.000 [2 per cell]
Tb2 0.000 0.119 0.591 [4 per cell]
Tb3 0.000 0.316 0.383 [4 per cell]
Tb4 0.000 0.361 0.755 [4 per cell]
Pd1 0.000 0.000 0.333 [2 per cell]
Pd2 0.000 0.500 0.262 [2 per cell]
Ru1 0.000 0.240 0.083 [4 per cell]

---

(2)
Diffraction record for Tc2Pd2Ru. The powder diffractogram is simulated, not measured: it uses a crystal structure in Alexandria, relaxed with GGA-PBE and CuKα.

Peak list (12 most intense, 10 to 90 degrees two-theta, by intensity)
2θ/deg, d_spacing, I/Imax
40.16, 2.246, 100.0
68.01, 1.378, 19.6
46.89, 1.938, 16.1
46.24, 1.963, 16.0
46.99, 1.934, 16.0
82.47, 1.170, 11.9
82.62, 1.168, 11.8
81.51, 1.181, 11.1
86.72, 1.123, 10.3
68.56, 1.369, 10.0
71.32, 1.322, 0.7
35.55, 2.525, 0.6

Structure:
Lattice parameters (Å, degrees): 3.867 19.635 3.875 90.00 90.00 90.00
Space group Cmcm (No. 63)
Unique sites:
Tc1 0.000 0.155 0.250 [4 per cell]
Tc2 0.000 0.250 0.750 [4 per cell]
Pd1 0.000 0.054 0.750 [4 per cell]
Pd2 0.000 0.447 0.750 [4 per cell]
Ru1 0.000 0.348 0.250 [4 per cell]